Calculated powder XRD pattern of Mg4NiSn for Cu Kα, from a DFT-relaxed cell (PBE, Alexandria).

Crystal structure
```
data_Mg4NiSn
_space_group_name_H-M_alt 'C 1 2/m 1'
_space_group_IT_number 12
_space_group_name_Hall '-C 2y'
_cell_length_a 14.533
_cell_length_b 7.125
_cell_length_c 5.134
_cell_angle_alpha 90.00
_cell_angle_beta 110.55
_cell_angle_gamma 90.00
loop_
_atom_site_label
_atom_site_type_symbol
_atom_site_fract_x
_atom_site_fract_y
_atom_site_fract_z
Mg1 Mg 0.000 0.208 0.000
Mg2 Mg 0.126 0.253 0.625
Mg3 Mg 0.169 0.500 0.168
Ni1 Ni 0.000 0.500 0.277
Sn1 Sn 0.189 0.000 0.190
```

Main lines, in order of falling intensity (2θ from 10° to 90°):
2θ/deg	I_rel	index
36.54	100	4 2 -1
23.25	70	3 1 0
21.33	54	1 1 -1
45.54	46	0 2 2
25.02	44	0 2 0
37.40	41	4 0 1
42.99	20	3 3 0
37.83	20	3 1 -2
65.19	20	4 4 1
26.21	19	4 0 -1
39.74	17	6 0 0
34.95	16	2 0 -2